Starting from a cell relaxed with GGA-PBE, the powder diffractogram of Cr4CN2 was computed for Cu Ka.
No peak broadening, texture or thermal motion is included.

Structural model:
```
14
Lattice="0.000 4.060 4.075 4.052 0.000 4.075 4.052 4.060 0.000" Properties=species:S:1:pos:R:3 pbc="T T T"
Cr 6.141 3.993 4.001
Cr 1.964 1.963 1.964
Cr 4.115 4.127 1.964
Cr 4.115 1.963 4.149
Cr 3.990 6.157 4.001
Cr 3.990 3.993 6.187
Cr 6.141 6.157 6.187
Cr 1.964 4.127 4.149
C 3.039 3.045 3.056
C 5.065 5.075 5.094
N 0.000 0.000 0.000
N 2.026 2.030 0.000
N 2.026 0.000 2.038
N 0.000 2.030 2.038
```

Peak list (12 most intense, 2θ from 15° to 90°, low angle first)
18.92°, d 4.691, I = 10.3; 38.38°, d 2.345, I = 100.0; 44.46°, d 2.038, I = 23.3; 44.68°, d 2.028, I = 46.4; 58.90°, d 1.568, I = 2.4; 59.11°, d 1.563, I = 3.0; 64.87°, d 1.437, I = 29.0; 65.04°, d 1.434, I = 14.5; 77.80°, d 1.228, I = 9.4; 78.05°, d 1.224, I = 9.6; 78.18°, d 1.223, I = 9.6; 82.20°, d 1.173, I = 11.3